Entry 1:
Diffraction record for La4Se3. The X-ray diffraction stick pattern is computed, not measured: it uses a PBE-relaxed structure and CuKα.
Lines closer than 0.1° are merged.

Structure:
```
data_La4Se3
_chemical_formula_sum 'La12 Se9'
_cell_length_a 4.2408
_cell_length_b 4.2408
_cell_length_c 41.9993
_cell_angle_alpha 90.00
_cell_angle_beta 90.00
_cell_angle_gamma 120.00
_symmetry_space_group_name_H-M 'R -3 m'
_symmetry_Int_Tables_number 166
_symmetry_space_group_name_Hall '-R 3 2"'
loop_
_atom_site_label
_atom_site_type_symbol
_atom_site_fract_x
_atom_site_fract_y
_atom_site_fract_z
La1 La 0.0000 0.0000 0.1225
La2 La 0.0000 0.0000 0.3722
Se1 Se 0.0000 0.0000 0.2524
Se2 Se 0.0000 0.0000 0.5000
```

Principal peaks in the range 15° ≤ 2θ ≤ 90°, sorted by position:
two_theta, I (rel.)
25.45, 72
25.70, 221
29.69, 1000
42.32, 361
42.64, 376
52.82, 197
61.64, 117
69.67, 150
70.12, 167
77.84, 119



Entry 2:
Diffraction record for La3Se. The X-ray diffraction stick pattern is computed, not measured: it uses a PBE-relaxed structure and CuKα.
Lines closer than 0.1° are merged.

Structure:
```
data_La3Se
_chemical_formula_sum 'La3 Se1'
_cell_length_a 3.781
_cell_length_b 3.781
_cell_length_c 8.797
_cell_angle_alpha 90.00
_cell_angle_beta 90.00
_cell_angle_gamma 90.00
_symmetry_space_group_name_H-M 'P 4/m m m'
_symmetry_Int_Tables_number 123
_symmetry_space_group_name_Hall '-P 4 2'
loop_
_atom_site_label
_atom_site_type_symbol
_atom_site_fract_x
_atom_site_fract_y
_atom_site_fract_z
La1 La 0.000 0.000 0.000
La2 La 0.500 0.500 0.295
Se1 Se 0.000 0.000 0.500
```

Principal peaks in the range 15° ≤ 2θ ≤ 90°, sorted by position:
two_theta, I (rel.)
25.64, 147
30.49, 92
31.19, 1000
33.52, 496
45.93, 119
48.13, 179
53.99, 115
57.80, 93
58.48, 330
80.30, 79



Entry 3:
Diffraction record for La6Se5. The X-ray diffraction stick pattern is computed, not measured: it uses a PBE-relaxed structure and CuKα.
Lines closer than 0.1° are merged.

Structure:
```
data_La6Se5
_chemical_formula_sum 'La12 Se10'
_cell_length_a 7.445
_cell_length_b 12.836
_cell_length_c 7.429
_cell_angle_alpha 90.00
_cell_angle_beta 109.46
_cell_angle_gamma 90.00
_symmetry_space_group_name_H-M 'C 1 2/m 1'
_symmetry_Int_Tables_number 12
_symmetry_space_group_name_Hall '-C 2y'
loop_
_atom_site_label
_atom_site_type_symbol
_atom_site_fract_x
_atom_site_fract_y
_atom_site_fract_z
La1 La 0.249 0.000 0.255
La2 La 0.249 0.168 0.749
Se1 Se 0.000 0.000 0.500
Se2 Se 0.000 0.166 0.000
Se3 Se 0.000 0.332 0.500
```

Principal peaks in the range 15° ≤ 2θ ≤ 90°, sorted by position:
two_theta, I (rel.)
25.46, 171
29.45, 1000
42.12, 625
42.25, 124
52.29, 198
61.16, 82
69.24, 169
69.40, 112
77.02, 104
77.16, 83